Record 1
NpCuI6: computed X-ray diffraction stick pattern (Cu Kα, 1.54184 Å), based on a DFT-relaxed cell (PBE, Alexandria).

Cell and atoms:
```
data_NpCuI6
_cell_length_a 7.3707
_cell_length_b 7.3707
_cell_length_c 19.9928
_cell_angle_alpha 90.00
_cell_angle_beta 90.00
_cell_angle_gamma 120.00
_space_group_name_H-M_alt 'R -3'
_space_group_IT_number 148
_space_group_name_Hall '-R 3'
loop_
_atom_site_label
_atom_site_type_symbol
_atom_site_fract_x
_atom_site_fract_y
_atom_site_fract_z
Np1 Np 0.0000 0.0000 0.0000
Cu1 Cu 0.0000 0.0000 0.5000
I1 I 0.0061 0.6477 0.2480
```

Top 10 peaks for 2θ = 10–90°, by intensity:
27.66 deg, I = 100; 36.35 deg, I = 50; 16.48 deg, I = 50; 42.49 deg, I = 37; 47.81 deg, I = 21; 51.45 deg, I = 16; 71.99 deg, I = 15; 33.31 deg, I = 13; 57.12 deg, I = 12; 68.86 deg, I = 12


Record 2
NpCu3I9: computed X-ray diffraction stick pattern (Cu Kα, 1.54184 Å), based on a DFT-relaxed cell (PBE, Alexandria).

Cell and atoms:
```
data_NpCu3I9
_cell_length_a 19.6069
_cell_length_b 10.1479
_cell_length_c 14.4076
_cell_angle_alpha 90.00
_cell_angle_beta 128.00
_cell_angle_gamma 90.00
_space_group_name_H-M_alt 'C 1 c 1'
_space_group_IT_number 9
loop_
_space_group_symop_operation_xyz
'x,y,z'
'x,-y,z+1/2'
'x+1/2,y+1/2,z'
'x+1/2,-y+1/2,z+1/2'
loop_
_atom_site_label
_atom_site_type_symbol
_atom_site_fract_x
_atom_site_fract_y
_atom_site_fract_z
Np1 Np 0.0000 0.2192 0.0000
Cu1 Cu 0.1485 0.4242 0.8419
Cu2 Cu 0.2710 0.0778 0.7755
Cu3 Cu 0.3590 0.3740 0.6632
I1 I 0.0099 0.3244 0.8156
I2 I 0.1080 0.4468 0.1515
I3 I 0.1463 0.0411 0.0747
I4 I 0.2000 0.3815 0.4835
I5 I 0.2380 0.2158 0.8915
I6 I 0.3454 0.1296 0.4254
I7 I 0.3751 0.4782 0.3285
I8 I 0.3836 0.1419 0.7501
I9 I 0.4982 0.4173 0.6831
```

Top 10 peaks for 2θ = 10–90°, by intensity:
15.00 deg, I = 100; 24.45 deg, I = 53; 26.33 deg, I = 48; 10.70 deg, I = 43; 20.65 deg, I = 28; 29.06 deg, I = 28; 38.46 deg, I = 26; 33.08 deg, I = 25; 36.29 deg, I = 23; 25.71 deg, I = 23


Record 3
NpTlCuI6: computed X-ray diffraction stick pattern (Cu Kα, 1.54184 Å), based on a DFT-relaxed cell (PBE, Alexandria).

Cell and atoms:
```
data_NpTlCuI6
_cell_length_a 7.6022
_cell_length_b 7.6022
_cell_length_c 15.5417
_cell_angle_alpha 90.00
_cell_angle_beta 90.00
_cell_angle_gamma 120.00
_space_group_name_H-M_alt 'P -3 1 c'
_space_group_IT_number 163
_space_group_name_Hall '-P 3 2c'
loop_
_atom_site_label
_atom_site_type_symbol
_atom_site_fract_x
_atom_site_fract_y
_atom_site_fract_z
Np1 Np 0.3333 0.6667 0.2500
Tl1 Tl 0.0000 0.0000 0.0000
Cu1 Cu 0.3333 0.6667 0.7500
I1 I 0.0136 0.3697 0.6410
```

Top 10 peaks for 2θ = 10–90°, by intensity:
32.97 deg, I = 100; 26.10 deg, I = 92; 17.66 deg, I = 80; 41.13 deg, I = 49; 37.97 deg, I = 28; 42.22 deg, I = 24; 53.69 deg, I = 22; 64.01 deg, I = 20; 69.79 deg, I = 19; 29.47 deg, I = 18